Calculated XRD peak list of BaSr3Co2Cu2O12 for Cu Kα, 1.54184 Å, from a DFT-relaxed cell (PBE+U, the Materials Project).

Crystal structure
```
data_BaSr3Co2Cu2O12
_chemical_formula_sum 'Ba4 Sr12 Co8 Cu8 O48'
_cell_length_a 11.0783
_cell_length_b 11.0973
_cell_length_c 7.8506
_cell_angle_alpha 90.00
_cell_angle_beta 90.00
_cell_angle_gamma 90.00
_space_group_name_H-M_alt 'C m m 2'
_space_group_IT_number 35
loop_
_space_group_symop_operation_xyz
'x,y,z'
'-x,-y,z'
'-x,y,z'
'x,-y,z'
'x+1/2,y+1/2,z'
'-x+1/2,-y+1/2,z'
'-x+1/2,y+1/2,z'
'x+1/2,-y+1/2,z'
loop_
_atom_site_label
_atom_site_type_symbol
_atom_site_fract_x
_atom_site_fract_y
_atom_site_fract_z
_atom_site_occupancy
Ba1 Ba 0.2483 0.0000 0.0000 1
Sr1 Sr 0.0000 0.2465 0.9980 1
Sr2 Sr 0.0000 0.2466 0.5072 1
Sr3 Sr 0.2463 0.0000 0.5076 1
Co1 Co 0.0000 0.5000 0.2562 1
Co2 Co 0.0000 0.5000 0.7510 1
Co3 Co 0.2500 0.2500 0.2564 1
Cu1 Cu 0.0000 0.0000 0.2542 1
Cu2 Cu 0.0000 0.0000 0.7520 1
Cu3 Cu 0.2500 0.2500 0.7521 1
O1 O 0.0000 0.0000 0.0046 1
O2 O 0.0000 0.0000 0.5010 1
O3 O 0.0000 0.5000 0.5068 1
O4 O 0.0000 0.5000 0.9966 1
O5 O 0.1211 0.3753 0.2576 1
O6 O 0.1217 0.3750 0.7474 1
O7 O 0.1228 0.1284 0.7456 1
O8 O 0.1263 0.1302 0.2585 1
O9 O 0.2500 0.2500 0.0093 1
O10 O 0.2500 0.2500 0.4987 1
```

Peak list (10 most intense, 10° ≤ 2θ ≤ 80°, by intensity)
| 2θ/deg | d (Å) | I_rel | h k l |
| --- | --- | --- | --- |
| 32.28 | 2.773 | 100 | 4 0 0 |
| 57.57 | 1.601 | 38 | 6 2 2 |
| 46.30 | 1.961 | 36 | 4 4 0 |
| 67.54 | 1.387 | 17 | 0 8 0 |
| 76.85 | 1.240 | 13 | 4 8 0 |
| 39.81 | 2.264 | 11 | 4 0 2 |
| 67.66 | 1.385 | 3 | 8 0 0 |
| 76.95 | 1.239 | 3 | 8 4 0 |
| 19.60 | 4.529 | 1 | 0 2 1 |
| 22.67 | 3.922 | 1 | 0 0 2 |

***

Calculated XRD peak list of Ba7SrCoCu7O24 for Cu Kα, 1.54184 Å, from a DFT-relaxed cell (PBE+U, the Materials Project).

Crystal structure
```
data_Ba7SrCoCu7O24
_chemical_formula_sum 'Ba21 Sr3 Co3 Cu21 O72'
_cell_length_a 11.3047
_cell_length_b 11.3047
_cell_length_c 13.8356
_cell_angle_alpha 90.00
_cell_angle_beta 90.00
_cell_angle_gamma 120.00
_space_group_name_H-M_alt 'R 3 m'
_space_group_IT_number 160
_space_group_name_Hall 'R 3 -2"'
loop_
_atom_site_label
_atom_site_type_symbol
_atom_site_fract_x
_atom_site_fract_y
_atom_site_fract_z
_atom_site_occupancy
Ba1 Ba 0.0000 0.0000 0.0000 1
Ba2 Ba 0.0014 0.5007 0.9989 1
Ba3 Ba 0.1673 0.3347 0.8328 1
Sr1 Sr 0.0000 0.0000 0.4971 1
Co1 Co 0.0000 0.0000 0.7477 1
Cu1 Cu 0.0000 0.0000 0.2494 1
Cu2 Cu 0.0001 0.5001 0.2489 1
Cu3 Cu 0.9999 0.4999 0.7492 1
O1 O 0.0007 0.2445 0.4996 1
O2 O 0.0795 0.1590 0.6655 1
O3 O 0.0835 0.1669 0.1665 1
O4 O 0.0830 0.4156 0.6654 1
O5 O 0.1617 0.0808 0.8292 1
O6 O 0.1626 0.0813 0.3362 1
```

Peak list (10 most intense, 10° ≤ 2θ ≤ 80°, by intensity)
| 2θ/deg | d (Å) | I_rel | h k l |
| --- | --- | --- | --- |
| 31.67 | 2.826 | 100 | 2 2 0 |
| 56.40 | 1.631 | 39 | 6 0 0 |
| 45.39 | 1.998 | 33 | 4 0 4 |
| 66.14 | 1.413 | 20 | 4 4 0 |
| 75.19 | 1.264 | 17 | 6 2 4 |
| 39.04 | 2.307 | 13 | 0 4 2 |
| 22.25 | 3.996 | 6 | 2 0 2 |
| 79.56 | 1.205 | 4 | 4 0 10 |
| 51.11 | 1.787 | 3 | 4 2 2 |
| 70.73 | 1.332 | 2 | 6 0 6 |